For Th6In2Ir, a cell relaxed with GGA-PBE gives the simulated X-ray diffraction stick pattern in this record (CuKα).

Most intense lines, 10 to 80 degrees two-theta, most intense first:
d 2.853, 31.35°, I = 100; d 2.539, 35.36°, I = 86; d 3.260, 27.35°, I = 58; d 2.625, 34.16°, I = 51; d 3.308, 26.95°, I = 48; d 2.950, 30.30°, I = 45; d 1.779, 51.37°, I = 38; d 2.552, 35.17°, I = 37; d 2.911, 30.71°, I = 37; d 2.882, 31.03°, I = 33

Crystal structure
```
Th6In2Ir
1.0
6.3107 0.0000 0.0000
0.0000 8.3190 0.0000
-6.1019 0.0000 10.5006
Th In Ir
12 4 2
Direct
0.0651 0.1872 0.4557
0.0651 0.3128 0.9557
0.3307 0.6679 0.4557
0.3307 0.8321 0.9557
0.3688 0.0269 0.2438
0.3688 0.4731 0.7438
0.6312 0.5269 0.2562
0.6312 0.9731 0.7562
0.6693 0.1679 0.0443
0.6693 0.3321 0.5443
0.9349 0.6872 0.0443
0.9349 0.8128 0.5443
0.1414 0.1169 0.7467
0.1414 0.3831 0.2467
0.8586 0.6169 0.7533
0.8586 0.8831 0.2533
0.5000 0.0000 0.5000
0.5000 0.5000 0.0000
```